1.
This entry pairs a crystal structure of Tl3Cr2FeF9 with its calculated powder diffraction line list. Radiation: CuKα. Structure: a PBE+U-relaxed structure.
Lines closer than 0.1° are merged.

Largest 10 diffraction maxima, by angle, 10° ≤ 2θ ≤ 90°:
| 2θ (°) | intensity |
| --- | --- |
| 20.83 | 60 |
| 29.51 | 100 |
| 29.74 | 98 |
| 36.39 | 43 |
| 42.38 | 66 |
| 52.34 | 21 |
| 52.49 | 41 |
| 52.92 | 20 |
| 61.23 | 21 |
| 61.75 | 20 |

a = 6.0548 Å, b = 6.0548 Å, c = 7.3320 Å
α = 90.00°, β = 90.00°, γ = 120.00°
Fractional positions:
Tl 0.0000 0.0000 0.0000
Tl 0.3333 0.6667 0.6631
Tl 0.6667 0.3333 0.3369
Cr 0.3333 0.6667 0.1653
Cr 0.6667 0.3333 0.8347
Fe 0.0000 0.0000 0.5000
F 0.0000 0.5000 0.0000
F 0.1669 0.3337 0.3365
F 0.1669 0.8331 0.3365
F 0.3337 0.1669 0.6635
F 0.5000 0.0000 0.0000
F 0.5000 0.5000 0.0000
F 0.6663 0.8331 0.3365
F 0.8331 0.1669 0.6635
F 0.8331 0.6663 0.6635

---

2.
This entry pairs a crystal structure of MnCuP2O8 with its calculated powder diffraction line list. Radiation: CuKα. Structure: a PBE+U-relaxed structure.
Lines closer than 0.1° are merged.

Largest 10 diffraction maxima, by angle, 10° ≤ 2θ ≤ 90°:
| 2θ (°) | intensity |
| --- | --- |
| 20.87 | 100 |
| 24.56 | 84 |
| 25.64 | 19 |
| 33.40 | 67 |
| 36.55 | 39 |
| 47.93 | 34 |
| 50.34 | 26 |
| 57.24 | 25 |
| 57.39 | 17 |
| 63.79 | 19 |

a = 8.4815 Å, b = 8.4815 Å, c = 8.4815 Å
α = 60.27°, β = 60.27°, γ = 60.27°
Fractional positions:
Mn 0.0000 0.0000 0.0000
Mn 0.2165 0.2165 0.2165
Mn 0.7165 0.7165 0.7165
Cu 0.3599 0.3599 0.3599
Cu 0.5015 0.5015 0.5015
Cu 0.8588 0.8588 0.8588
P 0.1077 0.8175 0.3973
P 0.3178 0.6071 0.8996
P 0.3973 0.1077 0.8175
P 0.6071 0.8996 0.3178
P 0.8175 0.3973 0.1077
P 0.8996 0.3178 0.6071
O 0.0417 0.8565 0.2391
O 0.1008 0.3029 0.4418
O 0.1174 0.7741 0.9213
O 0.1684 0.9765 0.3657
O 0.2391 0.0417 0.8565
O 0.2699 0.6193 0.4112
O 0.3029 0.4418 0.1008
O 0.3410 0.5490 0.7456
O 0.3657 0.1684 0.9765
O 0.4112 0.2699 0.6193
O 0.4418 0.1008 0.3029
O 0.4795 0.6648 0.8665
O 0.5490 0.7456 0.3410
O 0.5960 0.9386 0.8069
O 0.6193 0.4112 0.2699
O 0.6648 0.8665 0.4795
O 0.7456 0.3410 0.5490
O 0.7741 0.9213 0.1174
O 0.8069 0.5960 0.9386
O 0.8565 0.2391 0.0417
O 0.8665 0.4795 0.6648
O 0.9213 0.1174 0.7741
O 0.9386 0.8069 0.5960
O 0.9765 0.3657 0.1684